Record 1
This entry pairs a crystal structure of Dy3Si2Cl5O6 with its computed XRD peak list. Radiation: Cu Kα (weighted mean of Kα1 and Kα2). Structure: a GGA-PBE-relaxed structure.
Intensities are scaled so that the largest is 100.

Principal peaks in the range 10° ≤ 2θ ≤ 80°, by angle:
2θ = 17.17°, I 100, (0 2 0); 2θ = 23.68°, I 24, (0 0 3); 2θ = 24.37°, I 27, (2 2 -1); 2θ = 25.92°, I 22, (2 0 -3); 2θ = 32.52°, I 24, (2 0 3); 2θ = 33.76°, I 17, (4 0 -1); 2θ = 34.77°, I 18, (0 4 0); 2θ = 37.01°, I 19, (2 2 -4); 2θ = 39.02°, I 21, (2 4 0); 2θ = 45.37°, I 22, (4 2 2)

Structural model:
```
data_Dy3Si2Cl5O6
_chemical_formula_sum 'Dy12 Si8 Cl20 O24'
_space_group_name_H-M_alt 'C 1 2/m 1'
_space_group_IT_number 12
_cell_length_a 10.621
_cell_length_b 10.319
_cell_length_c 11.581
_cell_angle_alpha 90.00
_cell_angle_beta 103.30
_cell_angle_gamma 90.00
loop_
_space_group_symop_operation_xyz
'x,y,z'
'-x,-y,-z'
'-x,y,-z'
'x,-y,z'
'x+1/2,y+1/2,z'
'-x+1/2,-y+1/2,-z'
'-x+1/2,y+1/2,-z'
'x+1/2,-y+1/2,z'
loop_
_atom_site_label
_atom_site_fract_x
_atom_site_fract_y
_atom_site_fract_z
_atom_site_occupancy
Dy1 0.167 0.249 0.168 1
Dy2 0.250 0.250 0.500 1
Si1 0.037 0.147 0.646 1
Cl1 0.106 0.220 0.921 1
Cl2 0.120 0.500 0.142 1
Cl3 0.183 0.500 0.497 1
Cl4 0.222 0.000 0.163 1
O1 0.000 0.141 0.500 1
O2 0.049 0.000 0.698 1
O3 0.088 0.222 0.327 1
O4 0.175 0.221 0.673 1
```

Record 2
This entry pairs a crystal structure of KRb3Zn2Sn2 with its computed XRD peak list. Radiation: Cu Kα (weighted mean of Kα1 and Kα2). Structure: a GGA-PBE-relaxed structure.
Intensities are scaled so that the largest is 100.

Principal peaks in the range 10° ≤ 2θ ≤ 80°, by angle:
2θ = 15.61°, I 47, (1 0 -1); 2θ = 18.72°, I 35, (1 1 0); 2θ = 25.27°, I 51, (1 1 1); 2θ = 25.98°, I 30, (2 0 -1); 2θ = 26.51°, I 42, (0 2 0); 2θ = 29.06°, I 100, (1 1 -2); 2θ = 29.23°, I 96, (2 1 -1); 2θ = 29.74°, I 45, (1 2 0); 2θ = 34.36°, I 67, (1 2 1); 2θ = 37.86°, I 26, (0 2 2)

Structural model:
```
data_KRb3Zn2Sn2
_chemical_formula_sum 'K1 Rb3 Zn2 Sn2'
_space_group_name_H-M_alt 'P 1 m 1'
_space_group_IT_number 6
_cell_length_a 6.995
_cell_length_b 6.725
_cell_length_c 7.058
_cell_angle_alpha 90.00
_cell_angle_beta 107.83
_cell_angle_gamma 90.00
loop_
_space_group_symop_operation_xyz
'x,y,z'
'x,-y,z'
loop_
_atom_site_label
_atom_site_fract_x
_atom_site_fract_y
_atom_site_fract_z
_atom_site_occupancy
K1 0.000 0.000 0.000 1
Rb1 0.346 0.500 0.018 1
Rb2 0.663 0.000 0.335 1
Rb3 0.686 0.500 0.684 1
Zn1 0.174 0.250 0.506 1
Sn1 0.413 0.000 0.756 1
Sn2 0.930 0.500 0.263 1
```

Record 3
This entry pairs a crystal structure of Hf2Ge2PdPt with its computed XRD peak list. Radiation: Cu Kα (weighted mean of Kα1 and Kα2). Structure: a GGA-PBE-relaxed structure.
Intensities are scaled so that the largest is 100.

Principal peaks in the range 10° ≤ 2θ ≤ 80°, by angle:
2θ = 12.46°, I 1, (0 0 2); 2θ = 25.07°, I 51, (1 1 1); 2θ = 29.03°, I 8, (2 0 2); 2θ = 41.52°, I 100, (1 1 5); 2θ = 49.11°, I 25, (2 0 6); 2θ = 51.45°, I 2, (2 2 2); 2θ = 60.16°, I 17, (4 0 4); 2θ = 66.21°, I 10, (2 2 6); 2θ = 68.17°, I 3, (0 2 8); 2θ = 75.74°, I 34, (4 2 4)

Structural model:
```
data_Hf2Ge2PdPt
_chemical_formula_sum 'Hf8 Ge8 Pd4 Pt4'
_space_group_name_H-M_alt 'P 1 m 1'
_space_group_IT_number 6
_cell_length_a 7.538
_cell_length_b 4.348
_cell_length_c 14.431
_cell_angle_alpha 90.00
_cell_angle_beta 100.00
_cell_angle_gamma 90.00
loop_
_space_group_symop_operation_xyz
'x,y,z'
'x,-y,z'
loop_
_atom_site_label
_atom_site_fract_x
_atom_site_fract_y
_atom_site_fract_z
_atom_site_occupancy
Hf1 0.000 0.000 0.000 1
Hf2 0.000 0.500 0.500 1
Hf3 0.249 0.000 0.750 1
Hf4 0.250 0.500 0.251 1
Hf5 0.499 0.000 0.500 1
Hf6 0.499 0.500 0.000 1
Hf7 0.750 0.000 0.251 1
Hf8 0.750 0.500 0.751 1
Ge1 0.125 0.000 0.376 1
Ge2 0.126 0.500 0.876 1
Ge3 0.374 0.000 0.124 1
Ge4 0.376 0.500 0.625 1
Ge5 0.622 0.000 0.875 1
Ge6 0.625 0.500 0.377 1
Ge7 0.872 0.000 0.625 1
Ge8 0.875 0.500 0.126 1
Pd1 0.312 0.000 0.938 1
Pd2 0.312 0.500 0.438 1
Pd3 0.562 0.000 0.688 1
Pd4 0.812 0.000 0.439 1
Pt1 0.061 0.500 0.688 1
Pt2 0.062 0.000 0.187 1
Pt3 0.562 0.500 0.188 1
Pt4 0.812 0.500 0.938 1
```

Record 4
This entry pairs a crystal structure of Cu7Ag3 with its computed XRD peak list. Radiation: Cu Kα (weighted mean of Kα1 and Kα2). Structure: a GGA-PBE-relaxed structure.
Intensities are scaled so that the largest is 100.

Principal peaks in the range 10° ≤ 2θ ≤ 80°, by angle:
2θ = 35.85°, I 19, (0 1 4); 2θ = 41.00°, I 79, (0 1 5); 2θ = 41.35°, I 100, (1 1 0); 2θ = 42.15°, I 12, (1 0 4); 2θ = 46.71°, I 59, (1 0 5); 2θ = 50.24°, I 27, (0 2 0); 2θ = 67.60°, I 5, (1 2 4); 2θ = 68.72°, I 10, (2 0 0); 2θ = 71.03°, I 28, (1 2 5); 2θ = 75.64°, I 11, (1 1 9)

Structural model:
```
data_Cu7Ag3
_chemical_formula_sum 'Cu7 Ag3'
_space_group_name_H-M_alt 'P m m 2'
_space_group_IT_number 25
_cell_length_a 2.732
_cell_length_b 3.632
_cell_length_c 13.838
_cell_angle_alpha 90.00
_cell_angle_beta 90.00
_cell_angle_gamma 90.00
loop_
_space_group_symop_operation_xyz
'x,y,z'
'-x,-y,z'
'-x,y,z'
'x,-y,z'
loop_
_atom_site_label
_atom_site_fract_x
_atom_site_fract_y
_atom_site_fract_z
_atom_site_occupancy
Cu1 0.000 0.000 0.000 1
Cu2 0.000 0.000 0.180 1
Cu3 0.000 0.000 0.361 1
Cu4 0.000 0.000 0.788 1
Cu5 0.500 0.500 0.089 1
Cu6 0.500 0.500 0.270 1
Cu7 0.500 0.500 0.449 1
Ag1 0.000 0.000 0.557 1
Ag2 0.500 0.500 0.682 1
Ag3 0.500 0.500 0.893 1
```

Record 5
This entry pairs a crystal structure of TbGd2In3CuNi2 with its computed XRD peak list. Radiation: Cu Kα (weighted mean of Kα1 and Kα2). Structure: a GGA-PBE-relaxed structure.
Intensities are scaled so that the largest is 100.

Principal peaks in the range 10° ≤ 2θ ≤ 80°, by angle:
2θ = 33.40°, I 100, (1 3 1); 2θ = 36.24°, I 76, (1 4 0); 2θ = 36.69°, I 52, (0 1 3); 2θ = 41.82°, I 24, (0 6 0); 2θ = 47.22°, I 21, (2 0 0); 2θ = 50.80°, I 15, (0 2 4); 2θ = 56.51°, I 23, (1 5 3); 2θ = 61.25°, I 23, (2 1 3); 2θ = 64.89°, I 12, (2 6 0); 2θ = 67.55°, I 25, (1 1 5)

Structural model:
```
data_TbGd2In3CuNi2
_chemical_formula_sum 'Tb2 Gd4 In6 Cu2 Ni4'
_space_group_name_H-M_alt 'A m m 2'
_space_group_IT_number 38
_cell_length_a 3.850
_cell_length_b 12.961
_cell_length_c 7.481
_cell_angle_alpha 90.00
_cell_angle_beta 90.00
_cell_angle_gamma 90.00
loop_
_space_group_symop_operation_xyz
'x,y,z'
'-x,-y,z'
'-x,y,z'
'x,-y,z'
'x,y+1/2,z+1/2'
'-x,-y+1/2,z+1/2'
'-x,y+1/2,z+1/2'
'x,-y+1/2,z+1/2'
loop_
_atom_site_label
_atom_site_fract_x
_atom_site_fract_y
_atom_site_fract_z
_atom_site_occupancy
Tb1 0.000 0.000 0.000 1
Gd1 0.000 0.206 0.619 1
In1 0.500 0.000 0.671 1
In2 0.500 0.129 0.284 1
Cu1 0.000 0.000 0.412 1
Ni1 0.500 0.167 0.913 1
```

Record 6
This entry pairs a crystal structure of MgAl2CoCu4 with its computed XRD peak list. Radiation: Cu Kα (weighted mean of Kα1 and Kα2). Structure: a GGA-PBE-relaxed structure.
Intensities are scaled so that the largest is 100.

Principal peaks in the range 10° ≤ 2θ ≤ 80°, by angle:
2θ = 16.83°, I 9, (1 0 1); 2θ = 30.13°, I 7, (0 0 4); 2θ = 30.40°, I 14, (2 0 0); 2θ = 43.33°, I 100, (2 0 4); 2θ = 43.53°, I 49, (2 2 0); 2θ = 53.85°, I 5, (2 2 4); 2θ = 62.65°, I 8, (0 0 8); 2θ = 63.25°, I 15, (4 0 0); 2θ = 79.37°, I 15, (2 2 8); 2θ = 79.78°, I 28, (4 2 4)

Structural model:
```
data_MgAl2CoCu4
_chemical_formula_sum 'Mg4 Al8 Co4 Cu16'
_space_group_name_H-M_alt 'I 41/a m d'
_space_group_IT_number 141
_cell_length_a 5.881
_cell_length_b 5.881
_cell_length_c 11.863
_cell_angle_alpha 90.00
_cell_angle_beta 90.00
_cell_angle_gamma 90.00
loop_
_space_group_symop_operation_xyz
'x,y,z'
'-x,-y,-z'
'-y+1/4,x+3/4,z+1/4'
'y+1/4,-x+3/4,-z+1/4'
'-x+1/2,-y,z+1/2'
'x+1/2,y,-z+1/2'
'y+1/4,-x+1/4,z+3/4'
'-y+1/4,x+1/4,-z+3/4'
'x,-y,-z'
'-x,y,z'
'-y+1/4,-x+1/4,-z+3/4'
'y+1/4,x+1/4,z+3/4'
'-x+1/2,y,-z+1/2'
'x+1/2,-y,z+1/2'
'y+1/4,x+3/4,-z+1/4'
'-y+1/4,-x+3/4,z+1/4'
'x+1/2,y+1/2,z+1/2'
'-x+1/2,-y+1/2,-z+1/2'
'-y+3/4,x+1/4,z+3/4'
'y+3/4,-x+1/4,-z+3/4'
'-x,-y+1/2,z'
'x,y+1/2,-z'
'y+3/4,-x+3/4,z+1/4'
'-y+3/4,x+3/4,-z+1/4'
'x+1/2,-y+1/2,-z+1/2'
'-x+1/2,y+1/2,z+1/2'
'-y+3/4,-x+3/4,-z+1/4'
'y+3/4,x+3/4,z+1/4'
'-x,y+1/2,-z'
'x,-y+1/2,z'
'y+3/4,x+1/4,-z+3/4'
'-y+3/4,-x+1/4,z+3/4'
loop_
_atom_site_label
_atom_site_fract_x
_atom_site_fract_y
_atom_site_fract_z
_atom_site_occupancy
Mg1 0.000 0.250 0.375 1
Al1 0.000 0.250 0.128 1
Co1 0.000 0.250 0.875 1
Cu1 0.236 0.000 0.000 1
```

Record 7
This entry pairs a crystal structure of GdErTm2Cd2 with its computed XRD peak list. Radiation: Cu Kα (weighted mean of Kα1 and Kα2). Structure: a GGA-PBE-relaxed structure.
Intensities are scaled so that the largest is 100.

Principal peaks in the range 10° ≤ 2θ ≤ 80°, by angle:
2θ = 31.65°, I 21, (0 0 6); 2θ = 33.36°, I 29, (2 0 0); 2θ = 33.91°, I 100, (1 1 3); 2θ = 35.90°, I 13, (1 0 6); 2θ = 46.65°, I 15, (2 0 6); 2θ = 50.73°, I 9, (0 2 0); 2θ = 57.83°, I 8, (1 1 9); 2θ = 59.98°, I 19, (3 1 3); 2θ = 62.08°, I 10, (2 2 0); 2θ = 71.37°, I 8, (2 2 6)

Structural model:
```
data_GdErTm2Cd2
_chemical_formula_sum 'Gd2 Er2 Tm4 Cd4'
_space_group_name_H-M_alt 'A m m 2'
_space_group_IT_number 38
_cell_length_a 5.371
_cell_length_b 3.599
_cell_length_c 16.963
_cell_angle_alpha 90.00
_cell_angle_beta 90.00
_cell_angle_gamma 90.00
loop_
_space_group_symop_operation_xyz
'x,y,z'
'-x,-y,z'
'-x,y,z'
'x,-y,z'
'x,y+1/2,z+1/2'
'-x,-y+1/2,z+1/2'
'-x,y+1/2,z+1/2'
'x,-y+1/2,z+1/2'
loop_
_atom_site_label
_atom_site_fract_x
_atom_site_fract_y
_atom_site_fract_z
_atom_site_occupancy
Gd1 0.000 0.000 0.000 1
Er1 0.500 0.000 0.820 1
Tm1 0.000 0.000 0.685 1
Tm2 0.500 0.000 0.136 1
Cd1 0.000 0.000 0.341 1
Cd2 0.500 0.000 0.478 1
```

Record 8
This entry pairs a crystal structure of CdTcPt2 with its computed XRD peak list. Radiation: Cu Kα (weighted mean of Kα1 and Kα2). Structure: a GGA-PBE-relaxed structure.
Intensities are scaled so that the largest is 100.

Principal peaks in the range 10° ≤ 2θ ≤ 80°, by angle:
2θ = 24.10°, I 9, (1 1 1); 2θ = 39.86°, I 100, (2 2 0); 2θ = 47.12°, I 5, (3 1 1); 2θ = 57.64°, I 17, (4 0 0); 2θ = 63.38°, I 2, (3 3 1); 2θ = 72.37°, I 34, (4 2 2); 2θ = 77.55°, I 2, (5 1 1)

Structural model:
```
data_CdTcPt2
_chemical_formula_sum 'Cd4 Tc4 Pt8'
_space_group_name_H-M_alt 'F -4 3 m'
_space_group_IT_number 216
_space_group_name_Hall 'F -4 2 3'
_cell_length_a 6.397
_cell_length_b 6.397
_cell_length_c 6.397
_cell_angle_alpha 90.00
_cell_angle_beta 90.00
_cell_angle_gamma 90.00
loop_
_atom_site_label
_atom_site_fract_x
_atom_site_fract_y
_atom_site_fract_z
_atom_site_occupancy
Cd1 0.000 0.000 0.000 1
Tc1 0.250 0.250 0.750 1
Pt1 0.000 0.000 0.500 1
Pt2 0.250 0.250 0.250 1
```

Record 9
This entry pairs a crystal structure of HoLuSiGeOs with its computed XRD peak list. Radiation: Cu Kα (weighted mean of Kα1 and Kα2). Structure: a GGA-PBE-relaxed structure.
Intensities are scaled so that the largest is 100.

Principal peaks in the range 10° ≤ 2θ ≤ 80°, by angle:
2θ = 27.73°, I 47, (1 1 -2); 2θ = 33.44°, I 25, (3 1 -1); 2θ = 33.82°, I 100, (1 1 2); 2θ = 33.95°, I 63, (3 1 -2); 2θ = 37.43°, I 81, (3 1 -3); 2θ = 38.75°, I 28, (4 0 0); 2θ = 40.87°, I 38, (0 0 4); 2θ = 41.14°, I 71, (3 1 1); 2θ = 43.05°, I 54, (0 2 0); 2θ = 65.98°, I 28, (7 1 -3)

Structural model:
```
data_HoLuSiGeOs
_chemical_formula_sum 'Ho4 Lu4 Si4 Ge4 Os4'
_space_group_name_H-M_alt 'C 1 2/m 1'
_space_group_IT_number 12
_cell_length_a 10.529
_cell_length_b 4.202
_cell_length_c 10.003
_cell_angle_alpha 90.00
_cell_angle_beta 118.01
_cell_angle_gamma 90.00
loop_
_space_group_symop_operation_xyz
'x,y,z'
'-x,-y,-z'
'-x,y,-z'
'x,-y,z'
'x+1/2,y+1/2,z'
'-x+1/2,-y+1/2,-z'
'-x+1/2,y+1/2,-z'
'x+1/2,-y+1/2,z'
loop_
_atom_site_label
_atom_site_fract_x
_atom_site_fract_y
_atom_site_fract_z
_atom_site_occupancy
Ho1 0.187 0.000 0.116 1
Lu1 0.004 0.000 0.672 1
Si1 0.140 0.500 0.559 1
Ge1 0.014 0.500 0.874 1
Os1 0.235 0.500 0.376 1
```

Record 10
This entry pairs a crystal structure of Zn2Hg2SeF6 with its computed XRD peak list. Radiation: Cu Kα (weighted mean of Kα1 and Kα2). Structure: a GGA-PBE-relaxed structure.
Intensities are scaled so that the largest is 100.

Principal peaks in the range 10° ≤ 2θ ≤ 80°, by angle:
2θ = 14.15°, I 40, (1 1 1); 2θ = 28.52°, I 100, (2 2 2); 2θ = 33.05°, I 25, (4 0 0); 2θ = 36.11°, I 27, (3 3 1); 2θ = 47.44°, I 58, (4 4 0); 2θ = 49.75°, I 14, (5 3 1); 2θ = 56.29°, I 45, (6 2 2); 2θ = 59.03°, I 9, (4 4 4); 2θ = 76.62°, I 18, (6 6 2); 2θ = 78.99°, I 12, (8 4 0)

Structural model:
Cell: 10.842 10.842 10.842 Å, 90.00 90.00 90.00°
Space group Fd-3m (No. 227, origin choice 2)
Inequivalent atoms, fractional coordinates:
Zn 0.000 0.000 0.000
Hg 0.000 0.000 0.500
Se 0.125 0.125 0.625
F 0.070 0.375 0.375

Record 11
This entry pairs a crystal structure of SiAu2 with its computed XRD peak list. Radiation: Cu Kα (weighted mean of Kα1 and Kα2). Structure: a GGA-PBE-relaxed structure.
Intensities are scaled so that the largest is 100.

Principal peaks in the range 10° ≤ 2θ ≤ 80°, by angle:
2θ = 26.85°, I 58, (1 1 1); 2θ = 28.93°, I 100, (2 0 1); 2θ = 30.05°, I 32, (0 2 0); 2θ = 31.92°, I 33, (1 2 0); 2θ = 37.68°, I 47, (1 2 1); 2θ = 40.76°, I 54, (3 1 1); 2θ = 42.20°, I 46, (2 2 1); 2θ = 43.94°, I 76, (1 1 2); 2θ = 44.44°, I 36, (3 2 0); 2θ = 67.19°, I 27, (1 4 1)

Structural model:
```
data_SiAu2
_chemical_formula_sum 'Si4 Au8'
_space_group_name_H-M_alt 'P n a 21'
_space_group_IT_number 33
_cell_length_a 8.400
_cell_length_b 5.948
_cell_length_c 4.552
_cell_angle_alpha 90.00
_cell_angle_beta 90.00
_cell_angle_gamma 90.00
loop_
_space_group_symop_operation_xyz
'x,y,z'
'-x,-y,z+1/2'
'-x+1/2,y+1/2,z+1/2'
'x+1/2,-y+1/2,z'
loop_
_atom_site_label
_atom_site_fract_x
_atom_site_fract_y
_atom_site_fract_z
_atom_site_occupancy
Si1 0.152 0.227 0.000 1
Au1 0.095 0.586 0.267 1
Au2 0.102 0.051 0.488 1
```

Record 12
This entry pairs a crystal structure of OsF4 with its computed XRD peak list. Radiation: Cu Kα (weighted mean of Kα1 and Kα2). Structure: a GGA-PBE-relaxed structure.
Intensities are scaled so that the largest is 100.

Principal peaks in the range 10° ≤ 2θ ≤ 80°, by angle:
2θ = 20.76°, I 100, (1 1 0); 2θ = 28.02°, I 25, (0 0 1); 2θ = 28.48°, I 26, (0 2 0); 2θ = 30.54°, I 21, (2 0 0); 2θ = 35.13°, I 43, (1 1 1); 2θ = 41.92°, I 33, (2 0 1); 2θ = 46.14°, I 19, (1 3 0); 2θ = 51.46°, I 20, (2 2 1); 2θ = 54.85°, I 19, (1 3 1); 2θ = 57.29°, I 16, (3 1 1)

Structural model:
```
data_OsF4
_chemical_formula_sum 'Os2 F8'
_space_group_name_H-M_alt 'C m m m'
_space_group_IT_number 65
_space_group_name_Hall '-C 2 2'
_cell_length_a 5.854
_cell_length_b 6.267
_cell_length_c 3.185
_cell_angle_alpha 90.00
_cell_angle_beta 90.00
_cell_angle_gamma 90.00
loop_
_atom_site_label
_atom_site_fract_x
_atom_site_fract_y
_atom_site_fract_z
_atom_site_occupancy
Os1 0.000 0.000 0.000 1
F1 0.000 0.299 0.000 1
F2 0.212 0.000 0.500 1
```